(1)
Simulated XRD peak list
Compound: CsPuHfO6
Radiation: Cu Kα X-rays
Structure: a DFT-relaxed cell (GGA-PBE, Alexandria)

```
CsPuHfO6
1.0
-3.7821 3.9622 5.4117
3.7821 -3.9622 5.4117
3.7821 3.9622 -5.4117
Cs Pu Hf O
2 2 2 12
Direct
0.3626 0.1126 0.2500
0.6374 0.8874 0.7500
0.0000 0.5000 0.5000
0.5000 0.5000 0.0000
0.0000 0.0000 0.5000
0.0000 0.5000 0.0000
0.0631 0.4371 0.2578
0.0631 0.8053 0.6260
0.0658 0.8158 0.2500
0.3177 0.5677 0.7500
0.3207 0.1947 0.7578
0.3207 0.5629 0.1260
0.6793 0.4371 0.8740
0.6793 0.8053 0.2422
0.6823 0.4323 0.2500
0.9342 0.1842 0.7500
0.9369 0.1947 0.3740
0.9369 0.5629 0.7422
```

Principal peaks in the range 10 to 80 degrees two-theta, sorted by position:
2θ 13.85, d 6.394, I = 28
2θ 14.29, d 6.200, I = 49
2θ 26.70, d 3.339, I = 100
2θ 27.16, d 3.283, I = 35
2θ 27.39, d 3.256, I = 95
2θ 27.91, d 3.197, I = 60
2θ 28.80, d 3.100, I = 66
2θ 43.35, d 2.087, I = 25
2θ 47.25, d 1.924, I = 60
2θ 56.54, d 1.628, I = 24

=====

(2)
Simulated XRD peak list
Compound: CsHfTcO6
Radiation: Cu Kα X-rays
Structure: a DFT-relaxed cell (GGA-PBE, Alexandria)

```
CsHfTcO6
1.0
5.4329 0.0000 0.0000
-2.7164 4.7050 0.0000
0.0000 0.0000 6.6196
Cs Hf Tc O
1 1 1 6
Direct
0.0000 0.0000 0.0000
0.3333 0.6667 0.4757
0.6667 0.3333 0.5094
0.4215 0.0199 0.6660
0.4258 0.3982 0.3242
0.5984 0.5785 0.6660
0.6018 0.0277 0.3242
0.9723 0.5742 0.3242
0.9801 0.4016 0.6660
```

Principal peaks in the range 10 to 80 degrees two-theta, sorted by position:
2θ 13.38, d 6.620, I = 28
2θ 23.19, d 3.835, I = 100
2θ 26.94, d 3.310, I = 16
2θ 32.97, d 2.716, I = 33
2θ 40.70, d 2.217, I = 17
2θ 43.08, d 2.100, I = 42
2θ 45.40, d 1.998, I = 14
2θ 53.34, d 1.717, I = 20
2θ 57.24, d 1.609, I = 11
2θ 58.90, d 1.568, I = 10

=====

(3)
Simulated XRD peak list
Compound: Cs3Hf2P5S18
Radiation: Cu Kα X-rays
Structure: a DFT-relaxed cell (GGA-PBE, Alexandria)

```
Cs3Hf2P5S18
1.0
4.8827 -5.0601 0.0000
4.8827 5.0601 0.0000
-3.3217 0.0000 34.6933
Cs Hf P S
6 4 10 36
Direct
0.1109 0.8891 0.5000
0.2387 0.9307 0.3139
0.3883 0.6376 0.7028
0.6376 0.3883 0.2028
0.8891 0.1109 0.0000
0.9307 0.2387 0.8139
0.3566 0.5427 0.9142
0.3631 0.7393 0.1032
0.5427 0.3566 0.4142
0.7393 0.3631 0.6032
0.0861 0.4380 0.3953
0.1644 0.6719 0.1852
0.2239 0.7312 0.8325
0.3328 0.6185 0.0091
0.4380 0.0861 0.8953
0.6185 0.3328 0.5091
0.6719 0.1644 0.6852
0.7312 0.2239 0.3325
0.8245 0.8390 0.1215
0.8390 0.8245 0.6215
0.0026 0.3862 0.3354
0.0384 0.6230 0.6176
0.0484 0.9183 0.0905
0.0735 0.7168 0.8806
0.0768 0.7263 0.7821
0.1152 0.6248 0.9668
0.1596 0.5621 0.2359
0.1683 0.4840 0.1379
0.1948 0.2046 0.9139
0.2046 0.1948 0.4139
0.2645 0.4550 0.0530
0.3004 0.6419 0.3989
0.3829 0.8593 0.1755
0.3862 0.0026 0.8354
0.4041 0.8812 0.0366
0.4209 0.5290 0.8417
0.4550 0.2645 0.5530
0.4840 0.1683 0.6379
0.5120 0.5519 0.4788
0.5290 0.4209 0.3417
0.5395 0.8710 0.9267
0.5519 0.5120 0.9788
0.5621 0.1596 0.7359
0.5828 0.6911 0.6028
0.6230 0.0384 0.1176
0.6248 0.1152 0.4668
0.6419 0.3004 0.8989
0.6911 0.5828 0.1028
0.7168 0.0735 0.3806
0.7263 0.0768 0.2821
0.8317 0.9055 0.6817
0.8593 0.3829 0.6755
0.8710 0.5395 0.4267
0.8812 0.4041 0.5366
0.9055 0.8317 0.1817
0.9183 0.0484 0.5905
```

Principal peaks in the range 10 to 80 degrees two-theta, sorted by position:
2θ 10.20, d 8.673, I = 60
2θ 12.68, d 6.982, I = 94
2θ 17.35, d 5.110, I = 61
2θ 17.71, d 5.007, I = 79
2θ 18.25, d 4.860, I = 100
2θ 18.60, d 4.770, I = 64
2θ 19.20, d 4.623, I = 57
2θ 25.69, d 3.467, I = 100
2θ 30.19, d 2.960, I = 43
2θ 30.64, d 2.918, I = 46

=====

(4)
Simulated XRD peak list
Compound: Cs2HfPd
Radiation: Cu Kα X-rays
Structure: a DFT-relaxed cell (GGA-PBE, Alexandria)

```
Cs2HfPd
1.0
-6.8719 6.8719 2.4922
6.8719 -6.8719 2.4922
6.8719 6.8719 -2.4922
Cs Hf Pd
4 2 2
Direct
0.3750 0.2090 0.3340
0.7910 0.1250 0.1660
0.8750 0.0410 0.6660
0.9590 0.6250 0.8340
0.2500 0.7500 0.5000
0.5000 0.5000 0.0000
0.0000 0.0000 0.0000
0.7500 0.2500 0.5000
```

Principal peaks in the range 10 to 80 degrees two-theta, sorted by position:
2θ 12.88, d 6.872, I = 93
2θ 20.43, d 4.346, I = 53
2θ 22.97, d 3.871, I = 80
2θ 25.93, d 3.436, I = 47
2θ 29.06, d 3.073, I = 100
2θ 37.25, d 2.414, I = 29
2θ 41.56, d 2.173, I = 27
2θ 41.78, d 2.162, I = 37
2θ 45.98, d 1.974, I = 37
2θ 49.84, d 1.830, I = 28

=====

(5)
Simulated XRD peak list
Compound: Cs3Pr2HfSe6
Radiation: Cu Kα X-rays
Structure: a DFT-relaxed cell (GGA-PBE, Alexandria)

```
Cs3Pr2HfSe6
1.0
3.6962 -6.4018 0.0000
3.6962 6.4018 0.0000
-2.4733 0.0000 8.3993
Cs Pr Hf Se
3 2 1 6
Direct
0.0000 0.0000 0.0000
0.3275 0.6725 0.0000
0.6725 0.3275 0.0000
0.1661 0.8339 0.5000
0.8339 0.1661 0.5000
0.5000 0.5000 0.5000
0.1313 0.4376 0.3129
0.2575 0.2575 0.6895
0.4376 0.1313 0.3129
0.5624 0.8687 0.6871
0.7425 0.7425 0.3105
0.8687 0.5624 0.6871
```

Principal peaks in the range 10 to 80 degrees two-theta, sorted by position:
2θ 10.53, d 8.399, I = 13
2θ 21.16, d 4.200, I = 11
2θ 25.11, d 3.547, I = 13
2θ 27.99, d 3.188, I = 100
2θ 37.52, d 2.397, I = 34
2θ 42.36, d 2.134, I = 34
2θ 43.47, d 2.082, I = 10
2θ 51.54, d 1.773, I = 17
2θ 62.01, d 1.497, I = 10
2θ 68.84, d 1.364, I = 14

=====

(6)
Simulated XRD peak list
Compound: CsHf3Ru
Radiation: Cu Kα X-rays
Structure: a DFT-relaxed cell (GGA-PBE, Alexandria)

```
CsHf3Ru
1.0
5.1662 0.0000 0.0000
0.0000 5.1662 0.0000
0.0000 0.0000 5.1662
Cs Hf Ru
1 3 1
Direct
0.0000 0.0000 0.0000
0.0000 0.5000 0.5000
0.5000 0.0000 0.5000
0.5000 0.5000 0.0000
0.5000 0.5000 0.5000
```

Principal peaks in the range 10 to 80 degrees two-theta, sorted by position:
2θ 17.16, d 5.166, I = 21
2θ 29.96, d 2.983, I = 100
2θ 34.73, d 2.583, I = 96
2θ 38.98, d 2.310, I = 11
2θ 49.93, d 1.827, I = 69
2θ 53.19, d 1.722, I = 6
2θ 59.33, d 1.558, I = 44
2θ 62.25, d 1.491, I = 24
2θ 73.30, d 1.292, I = 11
2θ 75.94, d 1.253, I = 3

=====

(7)
Simulated XRD peak list
Compound: CsSmHfS4
Radiation: Cu Kα X-rays
Structure: a DFT-relaxed cell (GGA-PBE, Alexandria)

```
CsSmHfS4
1.0
6.9923 0.0000 0.0000
0.0000 7.0800 0.0000
-3.1539 0.0000 9.1809
Cs Sm Hf S
2 2 2 8
Direct
0.2244 0.2500 0.4425
0.7756 0.7500 0.5575
0.2964 0.2500 0.9538
0.7036 0.7500 0.0462
0.2515 0.7500 0.1566
0.7485 0.2500 0.8434
0.0209 0.7500 0.9203
0.0454 0.7500 0.3087
0.4952 0.0011 0.1857
0.4952 0.4989 0.1857
0.5048 0.5011 0.8143
0.5048 0.9989 0.8143
0.9546 0.2500 0.6913
0.9791 0.2500 0.0797
```

Principal peaks in the range 10 to 80 degrees two-theta, sorted by position:
2θ 15.81, d 5.607, I = 72
2θ 18.92, d 4.692, I = 51
2θ 23.09, d 3.852, I = 91
2θ 23.34, d 3.811, I = 59
2θ 25.16, d 3.540, I = 100
2θ 26.97, d 3.306, I = 45
2θ 28.49, d 3.133, I = 42
2θ 29.86, d 2.993, I = 79
2θ 30.45, d 2.935, I = 90
2θ 37.21, d 2.416, I = 65

=====

(8)
Simulated XRD peak list
Compound: Cs5HfSe4
Radiation: Cu Kα X-rays
Structure: a DFT-relaxed cell (GGA-PBE, Alexandria)

```
Cs5HfSe4
1.0
10.4859 0.0000 0.0000
0.0000 11.4058 0.0000
0.0000 0.0000 8.4437
Cs Hf Se
10 2 8
Direct
0.0040 0.0641 0.2305
0.0040 0.4359 0.2305
0.2500 0.2500 0.6517
0.4960 0.0641 0.2305
0.4960 0.4359 0.2305
0.5040 0.5641 0.7695
0.5040 0.9359 0.7695
0.7500 0.7500 0.3483
0.9960 0.5641 0.7695
0.9960 0.9359 0.7695
0.2500 0.7500 0.3092
0.7500 0.2500 0.6908
0.0517 0.7500 0.1363
0.2500 0.5652 0.4776
0.2500 0.9348 0.4776
0.4483 0.7500 0.1363
0.5517 0.2500 0.8637
0.7500 0.0652 0.5224
0.7500 0.4348 0.5224
0.9483 0.2500 0.8637
```

Principal peaks in the range 10 to 80 degrees two-theta, sorted by position:
2θ 19.93, d 4.454, I = 51
2θ 21.04, d 4.222, I = 33
2θ 21.42, d 4.149, I = 63
2θ 23.04, d 3.860, I = 33
2θ 25.70, d 3.467, I = 100
2θ 27.11, d 3.289, I = 40
2θ 31.40, d 2.849, I = 68
2θ 34.21, d 2.621, I = 35
2θ 43.27, d 2.091, I = 39
2θ 44.63, d 2.030, I = 27

=====

(9)
Simulated XRD peak list
Compound: Cs3HfSe3
Radiation: Cu Kα X-rays
Structure: a DFT-relaxed cell (GGA-PBE, Alexandria)

```
Cs3HfSe3
1.0
4.8839 -7.3011 0.0000
4.8839 7.3011 0.0000
-2.0683 0.0000 8.3725
Cs Hf Se
6 2 6
Direct
0.1721 0.8279 0.0000
0.2649 0.7351 0.5000
0.3869 0.3869 0.1563
0.6131 0.6131 0.8437
0.7351 0.2649 0.5000
0.8279 0.1721 0.0000
0.1615 0.1615 0.6409
0.8385 0.8385 0.3591
0.0972 0.0972 0.3270
0.1475 0.4299 0.7732
0.4299 0.1475 0.7732
0.5701 0.8525 0.2268
0.8525 0.5701 0.2268
0.9028 0.9028 0.6730
```

Principal peaks in the range 10 to 80 degrees two-theta, sorted by position:
2θ 13.73, d 6.450, I = 59
2θ 24.15, d 3.685, I = 100
2θ 24.51, d 3.632, I = 45
2θ 24.77, d 3.595, I = 36
2θ 26.66, d 3.343, I = 62
2θ 28.35, d 3.148, I = 75
2θ 31.20, d 2.866, I = 30
2θ 31.30, d 2.857, I = 37
2θ 31.75, d 2.818, I = 55
2θ 40.00, d 2.254, I = 41

=====

(10)
Simulated XRD peak list
Compound: Cs3HfSe4
Radiation: Cu Kα X-rays
Structure: a DFT-relaxed cell (GGA-PBE, Alexandria)

```
Cs3HfSe4
1.0
-3.1128 7.2822 3.9311
3.1128 -7.2822 3.9311
3.1128 7.2822 -3.9311
Cs Hf Se
3 1 4
Direct
0.0000 0.0000 0.0000
0.0590 0.7753 0.2836
0.4917 0.7753 0.7164
0.6565 0.1565 0.5000
0.4189 0.1890 0.7701
0.4189 0.6488 0.2299
0.6888 0.3330 0.3559
0.9771 0.3330 0.6441
```

Principal peaks in the range 10 to 80 degrees two-theta, sorted by position:
2θ 21.92, d 4.054, I = 100
2θ 24.45, d 3.641, I = 29
2θ 25.75, d 3.459, I = 35
2θ 27.52, d 3.241, I = 35
2θ 28.68, d 3.113, I = 25
2θ 30.63, d 2.918, I = 30
2θ 31.52, d 2.839, I = 26
2θ 32.65, d 2.743, I = 28
2θ 38.92, d 2.314, I = 29
2θ 54.30, d 1.689, I = 26

=====

(11)
Simulated XRD peak list
Compound: Cs5Hf2Se6
Radiation: Cu Kα X-rays
Structure: a DFT-relaxed cell (GGA-PBE, Alexandria)

```
Cs5Hf2Se6
1.0
7.0984 -4.5343 0.0000
7.0984 4.5343 0.0000
-3.9029 0.0000 18.5362
Cs Hf Se
10 4 12
Direct
0.1295 0.8705 0.7500
0.1834 0.7031 0.0019
0.2470 0.4355 0.2769
0.2969 0.8166 0.4981
0.4355 0.2470 0.7769
0.5645 0.7530 0.2231
0.7031 0.1834 0.5019
0.7530 0.5645 0.7231
0.8166 0.2969 0.9981
0.8705 0.1295 0.2500
0.1326 0.4118 0.5709
0.4118 0.1326 0.0709
0.5882 0.8674 0.9291
0.8674 0.5882 0.4291
0.0989 0.1947 0.6370
0.1530 0.2977 0.4347
0.1947 0.0989 0.1370
0.2977 0.1530 0.9347
0.3874 0.4870 0.6271
0.4870 0.3874 0.1271
0.5130 0.6126 0.8729
0.6126 0.5130 0.3729
0.7023 0.8470 0.0653
0.8053 0.9011 0.8630
0.8470 0.7023 0.5653
0.9011 0.8053 0.3630
```

Principal peaks in the range 10 to 80 degrees two-theta, sorted by position:
2θ 12.09, d 7.322, I = 92
2θ 13.09, d 6.765, I = 40
2θ 14.23, d 6.224, I = 34
2θ 22.93, d 3.878, I = 100
2θ 23.64, d 3.764, I = 96
2θ 24.35, d 3.656, I = 85
2θ 25.20, d 3.534, I = 53
2θ 30.44, d 2.937, I = 28
2θ 34.60, d 2.592, I = 28
2θ 38.07, d 2.364, I = 47

=====

(12)
Simulated XRD peak list
Compound: CsHf2Ta
Radiation: Cu Kα X-rays
Structure: a DFT-relaxed cell (GGA-PBE, Alexandria)

```
CsHf2Ta
1.0
0.0000 3.6348 3.6348
3.6348 0.0000 3.6348
3.6348 3.6348 0.0000
Cs Hf Ta
1 2 1
Direct
0.0000 0.0000 0.0000
0.2500 0.2500 0.2500
0.7500 0.7500 0.7500
0.5000 0.5000 0.5000
```

Principal peaks in the range 10 to 80 degrees two-theta, sorted by position:
2θ 21.17, d 4.197, I = 1
2θ 24.49, d 3.635, I = 1
2θ 34.91, d 2.570, I = 100
2θ 41.18, d 2.192, I = 1
2θ 50.20, d 1.817, I = 18
2θ 62.60, d 1.484, I = 37
2θ 73.72, d 1.285, I = 12